Diffraction record for CoH5CNCl2O2. The powder diffractogram is theoretical, not measured: it uses a cell relaxed with PBE+U and λ = 1.5418 Å (Cu Kα).
Kinematic intensities with the Lorentz-polarization factor, no thermal factor.

Structural model:
```
CoH5CNCl2O2
1.0
4.026 -5.539 0.000
4.026 5.539 0.000
-1.420 0.000 6.623
Co H C N Cl O
2 10 2 2 4 4
Direct
0.000 0.000 0.000
0.000 0.000 0.500
0.264 0.710 0.123
0.282 0.507 0.241
0.290 0.736 0.377
0.322 0.678 0.750
0.493 0.718 0.259
0.507 0.282 0.741
0.678 0.322 0.250
0.710 0.264 0.623
0.718 0.493 0.759
0.736 0.290 0.877
0.222 0.778 0.750
0.778 0.222 0.250
0.332 0.668 0.250
0.668 0.332 0.750
0.173 0.262 0.796
0.262 0.173 0.296
0.738 0.827 0.704
0.827 0.738 0.204
0.168 0.822 0.918
0.178 0.832 0.582
0.822 0.168 0.418
0.832 0.178 0.082
```

Peak list (6 most intense, 2θ from 10° to 90°, most intense first)
| 2θ/deg | d/Å | I_rel |
| --- | --- | --- |
| 13.8 | 6.417 | 100 |
| 16.0 | 5.539 | 34 |
| 40.0 | 2.257 | 21 |
| 42.4 | 2.131 | 19 |
| 32.5 | 2.757 | 18 |
| 35.5 | 2.531 | 14 |